The following is a theoretical powder diffractogram of PmGaAu2. It was derived from a structure optimized by DFT (GGA-PBE), using Cu Kα.
Neutral-atom scattering factors, no anomalous dispersion.

Structure:
Cell lengths 4.950, 4.950, 4.950 Å; angles 60.00, 60.00, 60.00 degrees
Sites, in units of the cell vectors:
Pm: 0.000 0.000 0.000
Ga: 0.500 0.500 0.500
Au: 0.250 0.250 0.250
Au: 0.750 0.750 0.750

Top 10 peaks for 2θ from 15° to 90°, low angle first:
d = 4.042 Å, rel. 3; d = 3.500 Å, rel. 10; d = 2.475 Å, rel. 100; d = 2.021 Å, rel. 3; d = 1.750 Å, rel. 18; d = 1.565 Å, rel. 4; d = 1.429 Å, rel. 36; d = 1.238 Å, rel. 11; d = 1.167 Å, rel. 2; d = 1.107 Å, rel. 17

***

The following is a theoretical powder diffractogram of PrGa3Au. It was derived from a structure optimized by DFT (GGA-PBE), using Cu Kα.
Neutral-atom scattering factors, no anomalous dispersion.

Structure:
Cell lengths 6.337, 6.337, 6.337 Å; angles 139.99, 139.99, 57.86 degrees
Sites, in units of the cell vectors:
Pr: 0.000 0.000 0.000
Ga: 0.238 0.738 0.500
Ga: 0.596 0.596 0.000
Ga: 0.738 0.238 0.500
Au: 0.368 0.368 0.000

Top 10 peaks for 2θ from 15° to 90°, low angle first:
d = 4.038 Å, rel. 32; d = 3.066 Å, rel. 44; d = 2.813 Å, rel. 100; d = 2.683 Å, rel. 96; d = 2.168 Å, rel. 74; d = 2.057 Å, rel. 31; d = 1.975 Å, rel. 48; d = 1.717 Å, rel. 47; d = 1.533 Å, rel. 24; d = 1.460 Å, rel. 36

***

The following is a theoretical powder diffractogram of SmGa3Au. It was derived from a structure optimized by DFT (GGA-PBE), using Cu Kα.
Neutral-atom scattering factors, no anomalous dispersion.

Structure:
Cell lengths 6.365, 6.365, 6.365 Å; angles 141.10, 141.10, 56.19 degrees
Sites, in units of the cell vectors:
Sm: 0.000 0.000 0.000
Ga: 0.240 0.740 0.500
Ga: 0.598 0.598 0.000
Ga: 0.740 0.240 0.500
Au: 0.376 0.376 0.000

Top 10 peaks for 2θ from 15° to 90°, low angle first:
d = 3.966 Å, rel. 26; d = 2.997 Å, rel. 42; d = 2.806 Å, rel. 93; d = 2.644 Å, rel. 100; d = 2.119 Å, rel. 68; d = 2.049 Å, rel. 26; d = 1.984 Å, rel. 58; d = 1.691 Å, rel. 42; d = 1.499 Å, rel. 24; d = 1.449 Å, rel. 41

***

The following is a theoretical powder diffractogram of SmGaAu2. It was derived from a structure optimized by DFT (GGA-PBE), using Cu Kα.
Neutral-atom scattering factors, no anomalous dispersion.

Structure:
Cell lengths 4.928, 4.928, 4.928 Å; angles 60.00, 60.00, 60.00 degrees
Sites, in units of the cell vectors:
Sm: 0.000 0.000 0.000
Ga: 0.500 0.500 0.500
Au: 0.250 0.250 0.250
Au: 0.750 0.750 0.750

Top 10 peaks for 2θ from 15° to 90°, low angle first:
d = 4.024 Å, rel. 4; d = 3.485 Å, rel. 9; d = 2.464 Å, rel. 100; d = 2.012 Å, rel. 3; d = 1.742 Å, rel. 18; d = 1.558 Å, rel. 4; d = 1.423 Å, rel. 36; d = 1.232 Å, rel. 11; d = 1.162 Å, rel. 2; d = 1.102 Å, rel. 17

***

The following is a theoretical powder diffractogram of Sr2Ga3Au6. It was derived from a structure optimized by DFT (GGA-PBE), using Cu Kα.
Neutral-atom scattering factors, no anomalous dispersion.

Structure:
Cell lengths 8.944, 8.944, 8.944 Å; angles 57.20, 57.20, 57.20 degrees
Sites, in units of the cell vectors:
Sr: 0.090 0.090 0.090
Sr: 0.410 0.410 0.410
Sr: 0.590 0.590 0.590
Sr: 0.910 0.910 0.910
Ga: 0.053 0.250 0.447
Ga: 0.250 0.447 0.053
Ga: 0.447 0.053 0.250
Ga: 0.553 0.947 0.750
Ga: 0.750 0.553 0.947
Ga: 0.947 0.750 0.553
Au: 0.025 0.634 0.295
Au: 0.134 0.525 0.795
Au: 0.205 0.866 0.475
Au: 0.295 0.025 0.634
Au: 0.366 0.705 0.975
Au: 0.475 0.205 0.866
Au: 0.525 0.795 0.134
Au: 0.634 0.295 0.025
Au: 0.705 0.975 0.366
Au: 0.795 0.134 0.525
Au: 0.866 0.475 0.205
Au: 0.975 0.366 0.705

Top 10 peaks for 2θ from 15° to 90°, low angle first:
d = 4.282 Å, rel. 47; d = 3.722 Å, rel. 41; d = 2.811 Å, rel. 88; d = 2.472 Å, rel. 100; d = 2.375 Å, rel. 31; d = 2.149 Å, rel. 71; d = 2.059 Å, rel. 64; d = 2.048 Å, rel. 18; d = 1.484 Å, rel. 25; d = 1.408 Å, rel. 21

***

The following is a theoretical powder diffractogram of TbGaAu2. It was derived from a structure optimized by DFT (GGA-PBE), using Cu Kα.
Neutral-atom scattering factors, no anomalous dispersion.

Structure:
Cell lengths 4.854, 4.854, 4.854 Å; angles 60.00, 60.00, 60.00 degrees
Sites, in units of the cell vectors:
Tb: 0.000 0.000 0.000
Ga: 0.500 0.500 0.500
Au: 0.250 0.250 0.250
Au: 0.750 0.750 0.750

Top 10 peaks for 2θ from 15° to 90°, low angle first:
d = 3.963 Å, rel. 4; d = 3.432 Å, rel. 8; d = 2.427 Å, rel. 100; d = 2.070 Å, rel. 2; d = 1.982 Å, rel. 3; d = 1.716 Å, rel. 18; d = 1.535 Å, rel. 4; d = 1.401 Å, rel. 36; d = 1.213 Å, rel. 11; d = 1.144 Å, rel. 2

***

The following is a theoretical powder diffractogram of Tb3Ga8Au3. It was derived from a structure optimized by DFT (GGA-PBE), using Cu Kα.
Neutral-atom scattering factors, no anomalous dispersion.

Structure:
Cell lengths 8.323, 8.323, 8.323 Å; angles 149.61, 109.42, 78.75 degrees
Sites, in units of the cell vectors:
Tb: 0.000 0.000 0.000
Tb: 0.303 0.303 0.000
Tb: 0.697 0.697 0.000
Ga: 0.030 0.660 0.371
Ga: 0.139 0.857 0.282
Ga: 0.289 0.660 0.629
Ga: 0.424 0.143 0.282
Ga: 0.576 0.857 0.718
Ga: 0.711 0.340 0.371
Ga: 0.861 0.143 0.718
Ga: 0.970 0.340 0.629
Au: 0.299 0.500 0.799
Au: 0.500 0.000 0.500
Au: 0.701 0.500 0.201

Top 10 peaks for 2θ from 15° to 90°, low angle first:
d = 3.134 Å, rel. 20; d = 2.581 Å, rel. 100; d = 2.568 Å, rel. 13; d = 2.397 Å, rel. 30; d = 2.181 Å, rel. 29; d = 2.145 Å, rel. 19; d = 2.014 Å, rel. 18; d = 1.529 Å, rel. 13; d = 1.385 Å, rel. 9; d = 1.324 Å, rel. 12

***

The following is a theoretical powder diffractogram of ThGaAu2. It was derived from a structure optimized by DFT (GGA-PBE), using Cu Kα.
Neutral-atom scattering factors, no anomalous dispersion.

Structure:
Cell lengths 5.010, 5.010, 5.010 Å; angles 60.00, 60.00, 60.00 degrees
Sites, in units of the cell vectors:
Th: 0.000 0.000 0.000
Ga: 0.500 0.500 0.500
Au: 0.250 0.250 0.250
Au: 0.750 0.750 0.750

Top 10 peaks for 2θ from 15° to 90°, low angle first:
d = 4.090 Å, rel. 11; d = 3.542 Å, rel. 2; d = 2.505 Å, rel. 100; d = 2.136 Å, rel. 6; d = 1.771 Å, rel. 18; d = 1.625 Å, rel. 3; d = 1.446 Å, rel. 37; d = 1.252 Å, rel. 12; d = 1.198 Å, rel. 2; d = 1.120 Å, rel. 17